[1]
For BaNdDyMnO6, a crystal structure in the Materials Project, relaxed with GGA+U gives the computed X-ray powder pattern in this record (Cu Kα).

Peak list (10 most intense, 2θ = 15–90°, low angle first)
2theta  I_rel
18.71  9
30.79  100
36.27  7
37.95  4
44.10  30
54.75  40
64.13  18
72.82  17
81.12  6
89.23  21

Cell and atoms:
Lattice parameters (Å, degrees): 8.214 8.214 8.214 90.00 90.00 90.00
Space group F-43m (No. 216)
Asymmetric unit:
Ba 0.000 0.000 0.000 [4 per cell]
Nd 0.000 0.000 0.500 [4 per cell]
Dy 0.250 0.250 0.750 [4 per cell]
Mn 0.250 0.250 0.250 [4 per cell]
O 0.016 0.250 0.250 [24 per cell]



[2]
For Sr3Fe2O4F3, a crystal structure in the Materials Project, relaxed with GGA+U gives the computed X-ray powder pattern in this record (Cu Kα).

Peak list (10 most intense, 2θ = 15–90°, low angle first)
2theta  I_rel
30.65  100
31.37  98
37.21  35
40.72  37
44.67  24
44.96  63
55.39  38
59.73  16
65.46  18
74.39  16

Cell and atoms:
Lattice parameters (Å, degrees): 4.033 4.033 21.126 90.00 90.00 90.00
Space group I4/mmm (No. 139)
Asymmetric unit:
Sr 0.000 0.000 0.000 [2 per cell]
Sr 0.000 0.000 0.172 [4 per cell]
Fe 0.000 0.000 0.401 [4 per cell]
O 0.000 0.500 0.100 [8 per cell]
F 0.000 0.000 0.291 [4 per cell]
F 0.000 0.000 0.500 [2 per cell]



[3]
For MgCrSF5, a crystal structure in the Materials Project, relaxed with GGA+U gives the computed X-ray powder pattern in this record (Cu Kα).

Peak list (10 most intense, 2θ = 15–90°, low angle first)
2theta  I_rel
15.83  100
15.98  32
23.26  58
23.95  18
26.49  31
26.68  37
30.17  30
36.13  25
41.36  15
47.76  17

Cell and atoms:
Lattice parameters (Å, degrees): 6.023 6.645 7.789 114.81 97.22 106.39
Space group P1 (No. 1)
Asymmetric unit:
Mg 0.000 0.000 0.000 [1 per cell]
Mg 0.333 0.685 0.544 [1 per cell]
Cr 0.676 0.352 0.282 [1 per cell]
Cr 0.720 0.327 0.783 [1 per cell]
S 0.139 0.266 0.558 [1 per cell]
S 0.367 0.450 0.813 [1 per cell]
F 0.000 0.597 0.428 [1 per cell]
F 0.342 0.132 0.128 [1 per cell]
F 0.451 0.021 0.679 [1 per cell]
F 0.495 0.737 0.823 [1 per cell]
F 0.536 0.597 0.384 [1 per cell]
F 0.646 0.289 0.506 [1 per cell]
F 0.723 0.418 0.064 [1 per cell]
F 0.824 0.112 0.187 [1 per cell]
F 0.929 0.131 0.835 [1 per cell]
F 0.942 0.663 0.883 [1 per cell]



[4]
For Li9Mn2Co5O16, a crystal structure in the Materials Project, relaxed with GGA+U gives the computed X-ray powder pattern in this record (Cu Kα).

Peak list (10 most intense, 2θ = 15–90°, low angle first)
2theta  I_rel
18.21  100
35.86  28
36.43  12
37.70  8
43.15  55
44.27  24
47.78  8
56.73  12
63.10  14
63.97  13

Cell and atoms:
Lattice parameters (Å, degrees): 9.932 2.938 10.055 90.00 101.18 90.00
Space group P2/m (No. 10)
Asymmetric unit:
Li 0.000 0.000 0.000 [1 per cell]
Li 0.229 0.500 0.118 [2 per cell]
Li 0.233 0.000 0.375 [2 per cell]
Li 0.237 0.000 0.874 [2 per cell]
Li 0.242 0.500 0.620 [2 per cell]
Mn 0.499 0.000 0.247 [2 per cell]
Co 0.000 0.000 0.500 [1 per cell]
Co 0.002 0.500 0.763 [2 per cell]
Co 0.500 0.500 0.000 [1 per cell]
Co 0.500 0.500 0.500 [1 per cell]
O 0.113 0.000 0.678 [2 per cell]
O 0.115 0.500 0.434 [2 per cell]
O 0.117 0.000 0.192 [2 per cell]
O 0.123 0.500 0.922 [2 per cell]
O 0.388 0.000 0.578 [2 per cell]
O 0.389 0.500 0.295 [2 per cell]
O 0.395 0.000 0.059 [2 per cell]
O 0.395 0.500 0.816 [2 per cell]



[5]
For Li4V5O10, a crystal structure in the Materials Project, relaxed with GGA+U gives the computed X-ray powder pattern in this record (Cu Kα).

Peak list (10 most intense, 2θ = 15–90°, low angle first)
2theta  I_rel
17.92  40
18.16  100
22.52  25
26.23  20
26.58  19
42.37  68
42.39  65
43.31  63
61.78  33
61.93  18

Cell and atoms:
Lattice parameters (Å, degrees): 5.153 5.244 7.840 71.13 71.89 80.47
Space group P1 (No. 1)
Asymmetric unit:
Li 0.000 0.000 0.000 [1 per cell]
Li 0.002 0.832 0.376 [1 per cell]
Li 0.008 0.379 0.203 [1 per cell]
Li 0.488 0.106 0.288 [1 per cell]
V 0.011 0.614 0.773 [1 per cell]
V 0.501 0.707 0.094 [1 per cell]
V 0.502 0.930 0.667 [1 per cell]
V 0.515 0.303 0.885 [1 per cell]
V 0.530 0.510 0.467 [1 per cell]
O 0.269 0.823 0.539 [1 per cell]
O 0.271 0.663 0.917 [1 per cell]
O 0.285 0.489 0.299 [1 per cell]
O 0.290 0.055 0.114 [1 per cell]
O 0.290 0.285 0.723 [1 per cell]
O 0.718 0.162 0.435 [1 per cell]
O 0.725 0.931 0.847 [1 per cell]
O 0.743 0.578 0.640 [1 per cell]
O 0.744 0.748 0.231 [1 per cell]
O 0.759 0.390 0.012 [1 per cell]



[6]
For AlAgW2O8, a crystal structure in the Materials Project, relaxed with GGA+U gives the computed X-ray powder pattern in this record (Cu Kα).

Peak list (10 most intense, 2θ = 15–90°, low angle first)
2theta  I_rel
19.05  40
23.00  42
24.40  63
29.50  95
30.54  100
34.89  33
35.22  48
50.62  31
52.63  24
53.93  25

Cell and atoms:
Lattice parameters (Å, degrees): 5.148 5.867 10.445 90.00 116.86 90.00
Space group P2/c (No. 13)
Asymmetric unit:
Al 0.000 0.162 0.250 [2 per cell]
Ag 0.500 0.153 0.750 [2 per cell]
W 0.242 0.333 0.999 [4 per cell]
O 0.159 0.399 0.610 [4 per cell]
O 0.203 0.168 0.142 [4 per cell]
O 0.226 0.093 0.881 [4 per cell]
O 0.320 0.385 0.394 [4 per cell]



[7]
For MgCoP2O7, a crystal structure in the Materials Project, relaxed with GGA+U gives the computed X-ray powder pattern in this record (Cu Kα).

Peak list (10 most intense, 2θ = 15–90°, low angle first)
2theta  I_rel
16.45  30
20.94  15
27.33  28
28.05  100
28.72  40
29.28  31
30.10  45
32.72  30
36.21  15
37.50  22

Cell and atoms:
Lattice parameters (Å, degrees): 7.080 8.325 9.563 79.36 70.95 82.04
Space group P1 (No. 1)
Asymmetric unit:
Mg 0.000 0.000 0.000 [1 per cell]
Mg 0.124 0.033 0.644 [1 per cell]
Mg 0.500 0.500 0.499 [1 per cell]
Mg 0.625 0.532 0.143 [1 per cell]
Co 0.009 0.466 0.687 [1 per cell]
Co 0.116 0.566 0.956 [1 per cell]
Co 0.509 0.965 0.186 [1 per cell]
Co 0.616 0.066 0.456 [1 per cell]
P 0.145 0.770 0.433 [1 per cell]
P 0.274 0.293 0.367 [1 per cell]
P 0.351 0.240 0.775 [1 per cell]
P 0.479 0.762 0.710 [1 per cell]
P 0.647 0.270 0.932 [1 per cell]
P 0.774 0.793 0.868 [1 per cell]
P 0.851 0.740 0.275 [1 per cell]
P 0.979 0.263 0.210 [1 per cell]
O 0.044 0.918 0.508 [1 per cell]
O 0.081 0.115 0.136 [1 per cell]
O 0.131 0.276 0.529 [1 per cell]
O 0.149 0.342 0.252 [1 per cell]
O 0.205 0.624 0.542 [1 per cell]
O 0.211 0.103 0.812 [1 per cell]
O 0.229 0.406 0.801 [1 per cell]
O 0.305 0.733 0.853 [1 per cell]
O 0.318 0.801 0.289 [1 per cell]
O 0.396 0.126 0.342 [1 per cell]
O 0.414 0.429 0.331 [1 per cell]
O 0.420 0.909 0.600 [1 per cell]
O 0.476 0.191 0.891 [1 per cell]
O 0.494 0.256 0.613 [1 per cell]
O 0.545 0.418 0.007 [1 per cell]
O 0.580 0.614 0.635 [1 per cell]
O 0.630 0.777 0.029 [1 per cell]
O 0.649 0.841 0.752 [1 per cell]
O 0.705 0.124 0.042 [1 per cell]
O 0.710 0.604 0.312 [1 per cell]
O 0.730 0.907 0.300 [1 per cell]
O 0.805 0.233 0.354 [1 per cell]
O 0.820 0.300 0.789 [1 per cell]
O 0.895 0.626 0.843 [1 per cell]
O 0.914 0.929 0.832 [1 per cell]
O 0.920 0.409 0.101 [1 per cell]
O 0.975 0.691 0.391 [1 per cell]
O 0.995 0.756 0.113 [1 per cell]



[8]
For Tb2MgV2O8, a crystal structure in the Materials Project, relaxed with GGA+U gives the computed X-ray powder pattern in this record (Cu Kα).

Peak list (10 most intense, 2θ = 15–90°, low angle first)
2theta  I_rel
17.77  38
18.29  39
23.98  98
24.40  100
32.07  85
32.94  84
34.47  54
38.40  34
48.03  32
48.65  38

Cell and atoms:
Lattice parameters (Å, degrees): 9.667 7.297 6.498 90.00 129.84 90.00
Space group C2 (No. 5)
Asymmetric unit:
Tb 0.222 0.000 0.088 [4 per cell]
Mg 0.000 0.218 0.500 [2 per cell]
V 0.226 0.466 0.354 [4 per cell]
O 0.042 0.445 0.354 [4 per cell]
O 0.076 0.023 0.288 [4 per cell]
O 0.233 0.803 0.803 [4 per cell]
O 0.244 0.671 0.195 [4 per cell]